Simulated XRD peak list of SrTl2CdI6 for Cu Kα (λ = 1.5418 Å), from a DFT-relaxed cell (GGA-PBE, Alexandria).

Unit cell a=8.5014 b=8.5014 c=21.5903 alpha=90.00 beta=90.00 gamma=120.00
Space group R3 (No. 146, hexagonal axes)
Symmetry-distinct sites (fractional):
Sr 0.0000 0.0000 0.0000 x3
Tl 0.0000 0.0000 0.2936 x3
Tl 0.0000 0.0000 0.7947 x3
Cd 0.0000 0.0000 0.4997 x3
I 0.0062 0.4000 0.2397 x9
I 0.0740 0.7146 0.0785 x9

Main lines, low angle first (5° ≤ 2θ ≤ 70°):
(0 1 2), 2θ 14.6, rel. 35; (1 0 4), 2θ 20.4, rel. 46; (2 -1 3), 2θ 24.3, rel. 100; (2 0 2), 2θ 25.6, rel. 41; (0 2 4), 2θ 29.4, rel. 68; (2 -1 6), 2θ 32.6, rel. 87; (3 -1 4), 2θ 36.3, rel. 36; (3 0 0), 2θ 36.6, rel. 61; (1 1 9), 2θ 43.3, rel. 21; (3 2 4), 2θ 57.1, rel. 22


Simulated XRD peak list of TbCdI2 for Cu Kα (λ = 1.5418 Å), from a DFT-relaxed cell (GGA-PBE, Alexandria).

Unit cell a=4.1962 b=4.1962 c=30.6640 alpha=90.00 beta=90.00 gamma=120.00
Space group R-3m (No. 166, hexagonal axes)
Symmetry-distinct sites (fractional):
Tb 0.0000 0.0000 0.0000 x3
Cd 0.0000 0.0000 0.5000 x3
I 0.0000 0.0000 0.0959 x6

Main lines, low angle first (5° ≤ 2θ ≤ 70°):
(1 0 1), 2θ 24.7, rel. 50; (0 1 2), 2θ 25.2, rel. 100; (0 1 5), 2θ 28.6, rel. 24; (0 1 8), 2θ 34.0, rel. 31; (0 0 12), 2θ 35.1, rel. 19; (1 0 10), 2θ 38.4, rel. 66; (0 1 11), 2θ 40.8, rel. 16; (1 1 0), 2θ 43.1, rel. 49; (1 1 12), 2θ 56.8, rel. 28; (0 2 10), 2θ 59.1, rel. 18


Simulated XRD peak list of CdTe2I for Cu Kα (λ = 1.5418 Å), from a DFT-relaxed cell (GGA-PBE, Alexandria).

Unit cell a=4.4386 b=4.4386 c=27.0339 alpha=90.00 beta=90.00 gamma=120.00
Space group R-3m (No. 166, hexagonal axes)
Symmetry-distinct sites (fractional):
Cd 0.0000 0.0000 0.0000 x3
Te 0.0000 0.0000 0.3908 x6
I 0.0000 0.0000 0.5000 x3

Main lines, low angle first (5° ≤ 2θ ≤ 70°):
(0 0 3), 2θ 9.8, rel. 33; (1 0 1), 2θ 23.4, rel. 53; (0 1 2), 2θ 24.1, rel. 100; (0 1 5), 2θ 28.5, rel. 40; (0 1 8), 2θ 35.4, rel. 75; (1 1 0), 2θ 40.7, rel. 70; (1 0 10), 2θ 40.8, rel. 59; (1 1 9), 2θ 51.2, rel. 20; (2 0 8), 2θ 55.0, rel. 21; (0 2 10), 2θ 59.0, rel. 19